For Dy2ThCd2In2, a crystal structure in Alexandria, relaxed with PBE gives the computed powder X-ray diffraction pattern in this record (Cu Kα X-rays).
Neutral-atom scattering factors, no anomalous dispersion.

Structure:
```
data_Dy2ThCd2In2
_chemical_formula_sum 'Dy6 Th3 Cd6 In6'
_symmetry_space_group_name_H-M 'R -3 m'
_symmetry_Int_Tables_number 166
_symmetry_space_group_name_Hall '-R 3 2"'
_cell_length_a 4.9959
_cell_length_b 4.9959
_cell_length_c 26.3845
_cell_angle_alpha 90.00
_cell_angle_beta 90.00
_cell_angle_gamma 120.00
loop_
_atom_site_label
_atom_site_type_symbol
_atom_site_fract_x
_atom_site_fract_y
_atom_site_fract_z
_atom_site_occupancy
Dy1 Dy 0.0000 0.0000 0.1308 1
Th1 Th 0.0000 0.0000 0.0000 1
Cd1 Cd 0.0000 0.0000 0.4158 1
In1 In 0.0000 0.0000 0.2644 1
```

Main lines, low angle first (10 to 90 degrees two-theta):
hkl 1 0 1, 2θ 20.8, d = 4.270 Å, I = 19; hkl 1 0 7, 2θ 31.5, d = 2.842 Å, I = 97; hkl 0 1 8, 2θ 34.2, d = 2.623 Å, I = 40; hkl 1 1 0, 2θ 36.0, d = 2.498 Å, I = 100; hkl 0 2 7, 2θ 48.5, d = 1.876 Å, I = 29; hkl 2 0 8, 2θ 50.5, d = 1.809 Å, I = 14; hkl 2 1 7, 2θ 61.8, d = 1.500 Å, I = 28; hkl 1 2 8, 2θ 63.5, d = 1.465 Å, I = 14; hkl 3 0 0, 2θ 64.6, d = 1.442 Å, I = 18; hkl 1 1 15, 2θ 64.8, d = 1.438 Å, I = 22


For Tb2PmY6Ho2, a crystal structure in Alexandria, relaxed with PBE gives the computed powder X-ray diffraction pattern in this record (Cu Kα X-rays).
Neutral-atom scattering factors, no anomalous dispersion.

Structure:
```
data_Tb2PmY6Ho2
_chemical_formula_sum 'Tb4 Pm2 Y12 Ho4'
_symmetry_space_group_name_H-M 'C m m m'
_symmetry_Int_Tables_number 65
_symmetry_space_group_name_Hall '-C 2 2'
_cell_length_a 5.697
_cell_length_b 12.026
_cell_length_c 10.556
_cell_angle_alpha 90.00
_cell_angle_beta 90.00
_cell_angle_gamma 90.00
loop_
_atom_site_label
_atom_site_type_symbol
_atom_site_fract_x
_atom_site_fract_y
_atom_site_fract_z
_atom_site_occupancy
Tb1 Tb 0.000 0.135 0.000 1
Pm1 Pm 0.000 0.500 0.500 1
Y1 Y 0.000 0.000 0.290 1
Y2 Y 0.000 0.347 0.206 1
Ho1 Ho 0.000 0.205 0.500 1
```

Main lines, low angle first (10 to 90 degrees two-theta):
hkl 1 1 3, 2θ 30.8, d = 2.905 Å, I = 27; hkl 0 4 1, 2θ 30.9, d = 2.892 Å, I = 22; hkl 2 0 0, 2θ 31.4, d = 2.848 Å, I = 38; hkl 1 3 2, 2θ 32.1, d = 2.785 Å, I = 100; hkl 0 0 4, 2θ 34.0, d = 2.639 Å, I = 19; hkl 2 4 1, 2θ 44.7, d = 2.029 Å, I = 16; hkl 2 0 4, 2θ 46.9, d = 1.936 Å, I = 15; hkl 3 3 2, 2θ 56.4, d = 1.632 Å, I = 21; hkl 1 7 3, 2θ 62.3, d = 1.490 Å, I = 15; hkl 2 4 5, 2θ 62.9, d = 1.477 Å, I = 14


For Nd2Zn2Cu5Rh, a crystal structure in Alexandria, relaxed with PBE gives the computed powder X-ray diffraction pattern in this record (Cu Kα X-rays).
Neutral-atom scattering factors, no anomalous dispersion.

Structure:
```
data_Nd2Zn2Cu5Rh
_chemical_formula_sum 'Nd4 Zn4 Cu10 Rh2'
_symmetry_space_group_name_H-M 'P 4/m b m'
_symmetry_Int_Tables_number 127
_symmetry_space_group_name_Hall '-P 4 2ab'
_cell_length_a 9.825
_cell_length_b 9.825
_cell_length_c 3.541
_cell_angle_alpha 90.00
_cell_angle_beta 90.00
_cell_angle_gamma 90.00
loop_
_atom_site_label
_atom_site_type_symbol
_atom_site_fract_x
_atom_site_fract_y
_atom_site_fract_z
_atom_site_occupancy
Nd1 Nd 0.180 0.320 0.000 1
Zn1 Zn 0.119 0.619 0.000 1
Cu1 Cu 0.000 0.500 0.500 1
Cu2 Cu 0.050 0.809 0.500 1
Rh1 Rh 0.000 0.000 0.000 1
```

Main lines, low angle first (10 to 90 degrees two-theta):
hkl 2 1 1, 2θ 32.5, d = 2.757 Å, I = 18; hkl 2 2 1, 2θ 36.2, d = 2.480 Å, I = 30; hkl 4 1 0, 2θ 37.8, d = 2.383 Å, I = 50; hkl 3 1 1, 2θ 38.5, d = 2.335 Å, I = 100; hkl 3 3 0, 2θ 38.9, d = 2.316 Å, I = 23; hkl 3 2 1, 2θ 41.8, d = 2.160 Å, I = 30; hkl 0 0 2, 2θ 51.6, d = 1.771 Å, I = 20; hkl 6 1 1, 2θ 63.3, d = 1.470 Å, I = 10; hkl 4 1 2, 2θ 65.7, d = 1.421 Å, I = 24; hkl 3 3 2, 2θ 66.4, d = 1.407 Å, I = 17


For CsK2HAu, a crystal structure in Alexandria, relaxed with PBE gives the computed powder X-ray diffraction pattern in this record (Cu Kα X-rays).
Neutral-atom scattering factors, no anomalous dispersion.

Structure:
```
data_CsK2HAu
_chemical_formula_sum 'Cs4 K8 H4 Au4'
_symmetry_space_group_name_H-M 'C m c m'
_symmetry_Int_Tables_number 63
_symmetry_space_group_name_Hall '-C 2c 2'
_cell_length_a 4.840
_cell_length_b 18.185
_cell_length_c 8.955
_cell_angle_alpha 90.00
_cell_angle_beta 90.00
_cell_angle_gamma 90.00
loop_
_atom_site_label
_atom_site_type_symbol
_atom_site_fract_x
_atom_site_fract_y
_atom_site_fract_z
_atom_site_occupancy
Cs1 Cs 0.000 0.003 0.250 1
K1 K 0.000 0.342 0.503 1
H1 H 0.000 0.500 0.000 1
Au1 Au 0.000 0.198 0.250 1
```

Main lines, low angle first (10 to 90 degrees two-theta):
hkl 0 2 1, 2θ 13.9, d = 6.380 Å, I = 59; hkl 1 1 0, 2θ 19.0, d = 4.677 Å, I = 40; hkl 0 0 2, 2θ 19.8, d = 4.477 Å, I = 49; hkl 1 1 1, 2θ 21.4, d = 4.146 Å, I = 100; hkl 0 4 1, 2θ 21.9, d = 4.054 Å, I = 44; hkl 1 1 2, 2θ 27.6, d = 3.234 Å, I = 90; hkl 0 4 2, 2θ 28.0, d = 3.190 Å, I = 42; hkl 1 5 0, 2θ 30.8, d = 2.908 Å, I = 54; hkl 1 1 3, 2θ 35.7, d = 2.515 Å, I = 36; hkl 1 5 2, 2θ 36.9, d = 2.439 Å, I = 88